1.
Diffraction record for AlMoN3. The powder X-ray diffraction pattern is simulated, not measured: it uses a PBE-relaxed structure and copper Kα.

Principal peaks in the range 2θ from 15° to 90°, most intense first:
Position (°2θ)  d_spacing  I/Imax
16.9  5.259  100
27.7  3.219  24
28.6  3.126  22
36.3  2.476  17
38.4  2.347  16
33.1  2.710  11
20.7  4.283  10
38.2  2.357  9
34.1  2.630  9
37.0  2.428  8

Structural model:
a = 5.4977 Å, b = 7.4220 Å, c = 7.6270 Å
α = 92.44°, β = 98.91°, γ = 103.88°
Fractional coordinates of all 20 atoms:
Al1 0.0504 0.3384 0.0211
Al2 0.3865 0.7166 0.7800
Al3 0.6135 0.2834 0.2200
Al4 0.9496 0.6616 0.9789
Mo1 0.0143 0.3563 0.6269
Mo2 0.0400 0.0429 0.2797
Mo3 0.9600 0.9571 0.7203
Mo4 0.9857 0.6437 0.3731
N1 0.1077 0.8094 0.1917
N2 0.1309 0.1719 0.5289
N3 0.1691 0.5335 0.8783
N4 0.2398 0.6003 0.5457
N5 0.2544 0.9265 0.8172
N6 0.2633 0.2326 0.1773
N7 0.7367 0.7674 0.8227
N8 0.7456 0.0735 0.1828
N9 0.7602 0.3997 0.4543
N10 0.8309 0.4665 0.1217
N11 0.8691 0.8281 0.4711
N12 0.8923 0.1906 0.8083



2.
Diffraction record for NbAl6Mo. The powder X-ray diffraction pattern is simulated, not measured: it uses a PBE-relaxed structure and copper Kα.

Principal peaks in the range 2θ from 15° to 90°, most intense first:
Position (°2θ)  d_spacing  I/Imax
39.4  2.286  100
25.5  3.496  50
47.4  1.918  29
82.8  1.166  24
65.6  1.423  21
20.9  4.248  20
42.6  2.124  20
39.6  2.278  15
75.8  1.255  14
33.0  2.712  13

Structural model:
a = 3.8358 Å, b = 3.8358 Å, c = 8.4963 Å
α = 90.00°, β = 90.00°, γ = 90.00°
Fractional coordinates of all 8 atoms:
Nb1 0.0000 0.0000 0.0000
Al1 0.0000 0.0000 0.5000
Al2 0.0000 0.5000 0.2542
Al3 0.0000 0.5000 0.7458
Al4 0.5000 0.0000 0.2542
Al5 0.5000 0.0000 0.7458
Al6 0.5000 0.5000 0.0000
Mo1 0.5000 0.5000 0.5000



3.
Diffraction record for Al3Mo8S16. The powder X-ray diffraction pattern is simulated, not measured: it uses a PBE-relaxed structure and copper Kα.

Principal peaks in the range 2θ from 15° to 90°, most intense first:
Position (°2θ)  d_spacing  I/Imax
15.4  5.748  100
36.1  2.489  72
29.8  3.002  55
52.0  1.760  51
47.5  1.916  51
44.6  2.032  29
39.5  2.284  25
67.1  1.394  16
17.8  4.978  14
73.0  1.296  14

Structural model:
a = 7.0426 Å, b = 7.0426 Å, c = 9.9482 Å
α = 90.00°, β = 90.00°, γ = 90.00°
Fractional coordinates of all 27 atoms:
Al1 0.0000 0.0000 0.0000
Al2 0.0000 0.5000 0.7469
Al3 0.5000 0.0000 0.2531
Mo1 0.0000 0.2999 0.3569
Mo2 0.0000 0.7001 0.3569
Mo3 0.2098 0.5000 0.1518
Mo4 0.2999 0.0000 0.6431
Mo5 0.5000 0.2098 0.8482
Mo6 0.5000 0.7902 0.8482
Mo7 0.7001 0.0000 0.6431
Mo8 0.7902 0.5000 0.1518
S1 0.0000 0.2306 0.6151
S2 0.0000 0.2496 0.1277
S3 0.0000 0.7504 0.1277
S4 0.0000 0.7694 0.6151
S5 0.2306 0.0000 0.3849
S6 0.2496 0.0000 0.8723
S7 0.2660 0.5000 0.3853
S8 0.2684 0.5000 0.8838
S9 0.5000 0.2660 0.6147
S10 0.5000 0.2684 0.1162
S11 0.5000 0.7316 0.1162
S12 0.5000 0.7340 0.6147
S13 0.7316 0.5000 0.8838
S14 0.7340 0.5000 0.3853
S15 0.7504 0.0000 0.8723
S16 0.7694 0.0000 0.3849



4.
Diffraction record for AlSiMo6. The powder X-ray diffraction pattern is simulated, not measured: it uses a PBE-relaxed structure and copper Kα.

Principal peaks in the range 2θ from 15° to 90°, most intense first:
Position (°2θ)  d_spacing  I/Imax
40.7  2.214  100
44.8  2.021  31
25.4  3.501  23
68.3  1.373  21
71.3  1.323  15
65.3  1.429  15
36.3  2.476  14
77.0  1.238  10
88.3  1.107  5
59.0  1.566  4

Structural model:
a = 4.9513 Å, b = 4.9513 Å, c = 4.9513 Å
α = 90.00°, β = 90.00°, γ = 90.00°
Fractional coordinates of all 8 atoms:
Al1 0.0000 0.0000 0.0000
Si1 0.5000 0.5000 0.5000
Mo1 0.0000 0.2516 0.5000
Mo2 0.0000 0.7484 0.5000
Mo3 0.2516 0.5000 0.0000
Mo4 0.5000 0.0000 0.2516
Mo5 0.5000 0.0000 0.7484
Mo6 0.7484 0.5000 0.0000



5.
Diffraction record for Al4Si2Mo3. The powder X-ray diffraction pattern is simulated, not measured: it uses a PBE-relaxed structure and copper Kα.

Principal peaks in the range 2θ from 15° to 90°, most intense first:
Position (°2θ)  d_spacing  I/Imax
38.9  2.317  100
23.5  3.785  78
48.9  1.861  50
29.6  3.022  46
40.9  2.208  43
42.4  2.130  39
42.6  2.124  38
68.0  1.379  18
43.2  2.094  16
71.5  1.319  15

Structural model:
a = 4.8039 Å, b = 4.8039 Å, c = 13.4595 Å
α = 95.13°, β = 95.13°, γ = 119.31°
Fractional coordinates of all 18 atoms:
Al1 0.0000 0.0000 0.0000
Al2 0.0074 0.6626 0.6680
Al3 0.2590 0.4065 0.1686
Al4 0.3327 0.3300 0.6647
Al5 0.3374 0.9926 0.3320
Al6 0.5935 0.7410 0.8314
Al7 0.6704 0.3296 0.0000
Al8 0.6700 0.6673 0.3353
Si1 0.2514 0.7486 0.5000
Si2 0.5952 0.0784 0.1675
Si3 0.9216 0.4048 0.8325
Si4 0.9287 0.0713 0.5000
Mo1 0.0000 0.3306 0.3385
Mo2 0.2597 0.0753 0.8332
Mo3 0.3316 0.6684 0.0000
Mo4 0.5946 0.4054 0.5000
Mo5 0.6694 0.0000 0.6615
Mo6 0.9247 0.7403 0.1668